(1)
The following is a computed powder X-ray diffraction pattern of TiSb. It was derived from a structure optimized by DFT (PBE), using Cu Ka.
No peak broadening, texture or thermal motion is included.

Largest 10 diffraction maxima, sorted by position, 5 to 70 degrees two-theta:
| two_theta | intensity |
| --- | --- |
| 25.2 | 11.7 |
| 26.9 | 52.9 |
| 29.8 | 15.1 |
| 37.2 | 100.0 |
| 47.6 | 32.7 |
| 51.7 | 8.4 |
| 54.6 | 8.9 |
| 55.5 | 7.1 |
| 59.3 | 11.7 |
| 61.9 | 21.6 |

Structural model:
a = 3.822 Å, b = 3.822 Å, c = 7.069 Å
α = 90.00°, β = 90.00°, γ = 120.00°
Positions (direct):
Ti: 0.333 0.667 0.250
Ti: 0.667 0.333 0.750
Sb: 0.000 0.000 0.000
Sb: 0.000 0.000 0.500

***

(2)
The following is a computed powder X-ray diffraction pattern of Mg14CdSnO16. It was derived from a structure optimized by DFT (PBE), using Cu Ka.
No peak broadening, texture or thermal motion is included.

Largest 10 diffraction maxima, sorted by position, 5 to 70 degrees two-theta:
| two_theta | intensity |
| --- | --- |
| 10.1 | 99.7 |
| 20.3 | 57.6 |
| 28.7 | 49.5 |
| 35.4 | 91.5 |
| 40.9 | 100.0 |
| 41.1 | 98.1 |
| 41.3 | 94.4 |
| 59.4 | 58.7 |
| 59.5 | 56.9 |
| 59.7 | 56.2 |

Structural model:
a = 4.412 Å, b = 8.749 Å, c = 8.777 Å
α = 90.00°, β = 90.00°, γ = 90.00°
Positions (direct):
Mg: 0.000 0.000 0.000
Mg: 0.000 0.000 0.500
Mg: 0.000 0.242 0.247
Mg: 0.000 0.242 0.753
Mg: 0.000 0.758 0.247
Mg: 0.000 0.758 0.753
Mg: 0.500 0.000 0.249
Mg: 0.500 0.000 0.751
Mg: 0.500 0.240 0.500
Mg: 0.500 0.244 0.000
Mg: 0.500 0.500 0.245
Mg: 0.500 0.500 0.755
Mg: 0.500 0.756 0.000
Mg: 0.500 0.760 0.500
Cd: 0.000 0.500 0.000
Sn: 0.000 0.500 0.500
O: 0.000 0.000 0.249
O: 0.000 0.000 0.751
O: 0.000 0.228 0.500
O: 0.000 0.231 0.000
O: 0.000 0.500 0.245
O: 0.000 0.500 0.755
O: 0.000 0.769 0.000
O: 0.000 0.772 0.500
O: 0.500 0.000 0.000
O: 0.500 0.000 0.500
O: 0.500 0.250 0.250
O: 0.500 0.250 0.750
O: 0.500 0.500 0.000
O: 0.500 0.500 0.500
O: 0.500 0.750 0.250
O: 0.500 0.750 0.750

***

(3)
The following is a computed powder X-ray diffraction pattern of Ba2YMgTlCu2O7. It was derived from a structure optimized by DFT (PBE), using Cu Ka.
No peak broadening, texture or thermal motion is included.

Largest 10 diffraction maxima, sorted by position, 5 to 70 degrees two-theta:
| two_theta | intensity |
| --- | --- |
| 5.9 | 84.2 |
| 11.8 | 28.7 |
| 25.1 | 23.4 |
| 26.5 | 21.1 |
| 28.4 | 57.6 |
| 29.7 | 46.2 |
| 32.6 | 100.0 |
| 33.1 | 21.9 |
| 33.7 | 34.3 |
| 45.1 | 23.4 |

Structural model:
a = 3.763 Å, b = 4.020 Å, c = 15.058 Å
α = 90.00°, β = 90.00°, γ = 90.00°
Positions (direct):
Ba: 0.000 0.000 0.000
Ba: 0.000 0.000 0.332
Y: 0.000 0.000 0.583
Mg: 0.000 0.500 0.819
Tl: 0.500 0.500 0.155
Cu: 0.500 0.500 0.474
Cu: 0.500 0.500 0.681
O: 0.000 0.000 0.153
O: 0.000 0.500 0.499
O: 0.000 0.500 0.690
O: 0.500 0.000 0.481
O: 0.500 0.000 0.672
O: 0.500 0.500 0.301
O: 0.500 0.500 0.883

***

(4)
The following is a computed powder X-ray diffraction pattern of KTh6F25. It was derived from a structure optimized by DFT (PBE), using Cu Ka.
No peak broadening, texture or thermal motion is included.

Largest 10 diffraction maxima, sorted by position, 5 to 70 degrees two-theta:
| two_theta | intensity |
| --- | --- |
| 12.7 | 55.8 |
| 20.9 | 64.7 |
| 21.3 | 54.5 |
| 24.8 | 100.0 |
| 28.3 | 33.8 |
| 30.2 | 60.0 |
| 43.2 | 51.3 |
| 43.4 | 32.3 |
| 46.5 | 35.0 |
| 48.5 | 53.1 |

Structural model:
a = 9.786 Å, b = 9.786 Å, c = 9.786 Å
α = 50.66°, β = 50.66°, γ = 50.66°
Positions (direct):
K: 0.000 0.000 0.000
Th: 0.091 0.592 0.592
Th: 0.408 0.408 0.909
Th: 0.408 0.909 0.408
Th: 0.592 0.091 0.592
Th: 0.592 0.592 0.091
Th: 0.909 0.408 0.408
F: 0.000 0.500 0.500
F: 0.127 0.127 0.552
F: 0.127 0.552 0.127
F: 0.178 0.500 0.822
F: 0.178 0.822 0.500
F: 0.210 0.210 0.210
F: 0.253 0.253 0.689
F: 0.253 0.689 0.253
F: 0.311 0.747 0.747
F: 0.448 0.873 0.873
F: 0.450 0.450 0.450
F: 0.500 0.000 0.500
F: 0.500 0.178 0.822
F: 0.500 0.500 0.000
F: 0.500 0.822 0.178
F: 0.550 0.550 0.550
F: 0.552 0.127 0.127
F: 0.689 0.253 0.253
F: 0.747 0.311 0.747
F: 0.747 0.747 0.311
F: 0.790 0.790 0.790
F: 0.822 0.178 0.500
F: 0.822 0.500 0.178
F: 0.873 0.448 0.873
F: 0.873 0.873 0.448

***

(5)
The following is a computed powder X-ray diffraction pattern of MgTe4Mo2W2Se2S2. It was derived from a structure optimized by DFT (PBE), using Cu Ka.
No peak broadening, texture or thermal motion is included.

Largest 10 diffraction maxima, sorted by position, 5 to 70 degrees two-theta:
| two_theta | intensity |
| --- | --- |
| 6.9 | 39.6 |
| 11.4 | 100.0 |
| 13.7 | 14.5 |
| 30.5 | 48.2 |
| 32.6 | 15.3 |
| 35.8 | 86.6 |
| 38.5 | 17.4 |
| 43.3 | 47.5 |
| 45.1 | 14.7 |
| 54.2 | 28.2 |

Structural model:
a = 3.387 Å, b = 3.387 Å, c = 38.711 Å
α = 90.00°, β = 90.00°, γ = 120.00°
Positions (direct):
Mg: 0.000 0.000 0.000
Te: 0.028 0.023 0.734
Te: 0.028 0.023 0.832
Te: 0.362 0.689 0.171
Te: 0.362 0.689 0.268
Mo: 0.028 0.023 0.219
Mo: 0.028 0.023 0.595
W: 0.362 0.690 0.407
W: 0.362 0.690 0.783
Se: 0.362 0.689 0.552
Se: 0.362 0.689 0.638
S: 0.028 0.023 0.368
S: 0.029 0.023 0.446

***

(6)
The following is a computed powder X-ray diffraction pattern of MgZn. It was derived from a structure optimized by DFT (PBE), using Cu Ka.
No peak broadening, texture or thermal motion is included.

Largest 10 diffraction maxima, sorted by position, 5 to 70 degrees two-theta:
| two_theta | intensity |
| --- | --- |
| 23.2 | 19.2 |
| 29.2 | 21.8 |
| 37.6 | 100.0 |
| 41.8 | 36.9 |
| 47.4 | 12.6 |
| 48.4 | 10.6 |
| 56.7 | 6.4 |
| 60.6 | 11.6 |
| 65.1 | 18.5 |
| 65.8 | 3.9 |

Structural model:
a = 3.056 Å, b = 3.056 Å, c = 3.833 Å
α = 90.00°, β = 90.00°, γ = 90.00°
Positions (direct):
Mg: 0.000 0.000 0.000
Zn: 0.500 0.500 0.500

***

(7)
The following is a computed powder X-ray diffraction pattern of Bi2B2O7. It was derived from a structure optimized by DFT (PBE), using Cu Ka.
No peak broadening, texture or thermal motion is included.

Largest 10 diffraction maxima, sorted by position, 5 to 70 degrees two-theta:
| two_theta | intensity |
| --- | --- |
| 11.8 | 100.0 |
| 19.7 | 98.9 |
| 21.4 | 95.2 |
| 21.5 | 86.1 |
| 24.5 | 68.2 |
| 26.5 | 77.5 |
| 30.1 | 46.2 |
| 30.2 | 48.1 |
| 35.3 | 43.0 |
| 48.5 | 43.1 |

Structural model:
a = 5.232 Å, b = 8.338 Å, c = 8.601 Å
α = 115.17°, β = 93.01°, γ = 94.65°
Positions (direct):
Bi: 0.136 0.204 0.448
Bi: 0.278 0.524 0.169
Bi: 0.722 0.476 0.831
Bi: 0.864 0.796 0.552
B: 0.153 0.253 0.846
B: 0.358 0.621 0.648
B: 0.642 0.379 0.352
B: 0.847 0.747 0.154
O: 0.029 0.678 0.038
O: 0.068 0.970 0.940
O: 0.085 0.136 0.676
O: 0.239 0.474 0.667
O: 0.244 0.715 0.569
O: 0.383 0.329 0.292
O: 0.405 0.323 0.920
O: 0.595 0.677 0.080
O: 0.617 0.671 0.708
O: 0.756 0.285 0.431
O: 0.761 0.526 0.333
O: 0.915 0.864 0.324
O: 0.932 0.030 0.060
O: 0.971 0.322 0.962